This entry pairs a crystal structure of PrEuNbVO6 with its simulated X-ray powder pattern. Radiation: Cu Kα. Structure: a DFT-relaxed cell (PBE+U, Alexandria).
Intensities are scaled so that the largest is 100.

Principal peaks in the range 5 to 70 degrees two-theta, in order of rising 2θ:
d_spacing, intensity
4.035, 8
2.853, 100
2.330, 14
2.018, 31
1.647, 39
1.427, 19

Structural model:
Lattice parameters (Å, degrees): 8.0701 8.0701 8.0701 90.00 90.00 90.00
Space group F-43m (No. 216)
One atom of each set of equivalent atoms:
Pr: 0.0000 0.0000 0.0000 (multiplicity 4)
Eu: 0.0000 0.0000 0.5000 (multiplicity 4)
Nb: 0.2500 0.2500 0.2500 (multiplicity 4)
V: 0.2500 0.2500 0.7500 (multiplicity 4)
O: 0.0022 0.2500 0.2500 (multiplicity 24)